No. 1
Theoretical powder XRD pattern
Compound: Na3MgC2BrO6
Radiation: a wavelength of 1.5418 Å
Structure: a cell relaxed with GGA-PBE

Peak list (10 most intense, 10° ≤ 2θ ≤ 90°, sorted by position)
d 4.160, I = 39; d 3.603, I = 39; d 3.306, I = 40; d 2.773, I = 34; d 2.548, I = 100; d 2.173, I = 56; d 1.801, I = 41; d 1.653, I = 36; d 1.471, I = 26; d 1.274, I = 20

Crystal structure
Cell lengths 14.411, 14.411, 14.411 Å; angles 90.00, 90.00, 90.00 degrees
Space group Fd-3m (No. 227, origin choice 2)
One atom of each set of equivalent atoms:
Na  0.115  0.375  0.375 x48
Mg  0.000  0.000  0.500 x16
C  0.034  0.034  0.716 x32
Br  0.000  0.000  0.000 x16
O  0.003  0.003  0.357 x96

***

No. 2
Theoretical powder XRD pattern
Compound: MnC8Br4N2
Radiation: a wavelength of 1.5418 Å
Structure: a cell relaxed with GGA-PBE

Peak list (10 most intense, 10° ≤ 2θ ≤ 90°, sorted by position)
d 7.426, I = 27; d 6.725, I = 91; d 6.298, I = 100; d 5.945, I = 32; d 3.852, I = 59; d 3.713, I = 39; d 3.342, I = 37; d 3.148, I = 24; d 2.891, I = 23; d 1.810, I = 30

Crystal structure
Cell lengths 11.889, 8.341, 16.308 Å; angles 90.00, 90.00, 90.00 degrees
Space group Pnma (No. 62)
One atom of each set of equivalent atoms:
Mn  0.249  0.250  0.089 x4
C  0.027  0.129  0.783 x8
C  0.030  0.250  0.730 x4
C  0.083  0.250  0.478 x4
C  0.121  0.163  0.349 x8
C  0.126  0.750  0.082 x4
C  0.239  0.250  0.365 x4
Br  0.063  0.250  0.097 x4
Br  0.188  0.535  0.658 x8
Br  0.197  0.750  0.457 x4
N  0.033  0.750  0.109 x4
N  0.175  0.250  0.442 x4

***

No. 3
Theoretical powder XRD pattern
Compound: MnC8Br4N2
Radiation: a wavelength of 1.5418 Å
Structure: a cell relaxed with GGA-PBE

Peak list (10 most intense, 10° ≤ 2θ ≤ 90°, sorted by position)
d 7.560, I = 33; d 6.520, I = 51; d 6.375, I = 98; d 6.216, I = 73; d 5.895, I = 38; d 4.368, I = 48; d 3.800, I = 100; d 3.779, I = 35; d 3.608, I = 34; d 3.106, I = 33

Crystal structure
Cell lengths 8.735, 15.157, 11.812 Å; angles 90.00, 93.47, 90.00 degrees
Space group P2_1/c (No. 14)
One atom of each set of equivalent atoms:
Mn  0.229  0.096  0.254 x4
C  0.145  0.653  0.523 x4
C  0.179  0.104  0.728 x4
C  0.189  0.037  0.615 x4
C  0.197  0.733  0.462 x4
C  0.208  0.136  0.609 x4
C  0.237  0.617  0.431 x4
C  0.307  0.666  0.567 x4
C  0.371  0.149  0.620 x4
Br  0.004  0.162  0.292 x4
Br  0.184  0.541  0.820 x4
Br  0.272  0.095  0.067 x4
Br  0.447  0.161  0.326 x4
N  0.335  0.071  0.684 x4
N  0.349  0.690  0.451 x4

***

No. 4
Theoretical powder XRD pattern
Compound: MnC4Br3N
Radiation: a wavelength of 1.5418 Å
Structure: a cell relaxed with GGA-PBE

Peak list (10 most intense, 10° ≤ 2θ ≤ 90°, sorted by position)
d 7.912, I = 100; d 7.653, I = 70; d 7.184, I = 49; d 3.341, I = 27; d 3.262, I = 43; d 3.116, I = 56; d 2.732, I = 29; d 2.546, I = 17; d 2.533, I = 27; d 2.358, I = 22

Crystal structure
Cell lengths 8.407, 6.239, 8.692 Å; angles 90.00, 114.45, 90.00 degrees
Space group P2_1 (No. 4)
One atom of each set of equivalent atoms:
Mn  0.000  0.000  0.000 x2
C  0.186  0.256  0.605 x2
C  0.338  0.266  0.539 x2
C  0.346  0.400  0.684 x2
C  0.450  0.282  0.832 x2
Br  0.099  0.750  0.829 x2
Br  0.164  0.751  0.247 x2
Br  0.265  0.250  0.069 x2
N  0.359  0.133  0.698 x2

***

No. 5
Theoretical powder XRD pattern
Compound: MnC4Br3N
Radiation: a wavelength of 1.5418 Å
Structure: a cell relaxed with GGA-PBE

Peak list (10 most intense, 10° ≤ 2θ ≤ 90°, sorted by position)
d 7.294, I = 100; d 3.490, I = 14; d 3.148, I = 63; d 3.118, I = 13; d 2.521, I = 33; d 2.506, I = 13; d 2.370, I = 19; d 2.265, I = 12; d 2.065, I = 18; d 1.673, I = 12

Crystal structure
Cell lengths 8.4224, 8.4224, 6.2355 Å; angles 90.00, 90.00, 120.00 degrees
Space group P6_3 (No. 173)
One atom of each set of equivalent atoms:
Mn  0.0000  0.0000  0.0000 x2
C  0.1964  0.5611  0.2286 x6
C  0.3333  0.6667  0.0576 x2
Br  0.0922  0.2706  0.7489 x6
N  0.3333  0.6667  0.3964 x2

***

No. 6
Theoretical powder XRD pattern
Compound: MnC4Br3N
Radiation: a wavelength of 1.5418 Å
Structure: a cell relaxed with GGA-PBE

Peak list (10 most intense, 10° ≤ 2θ ≤ 90°, sorted by position)
d 8.746, I = 100; d 3.706, I = 23; d 3.594, I = 26; d 3.171, I = 21; d 2.986, I = 24; d 2.960, I = 16; d 2.860, I = 17; d 2.748, I = 20; d 2.308, I = 18; d 2.297, I = 18

Crystal structure
Cell lengths 10.117, 6.307, 10.636 Å; angles 90.00, 115.14, 90.00 degrees
Space group P2_1 (No. 4)
One atom of each set of equivalent atoms:
Mn  0.000  0.000  0.000 x2
C  0.178  0.132  0.549 x2
C  0.295  0.105  0.517 x2
C  0.315  0.204  0.641 x2
C  0.402  0.307  0.763 x2
Br  0.093  0.750  0.867 x2
Br  0.128  0.750  0.205 x2
Br  0.217  0.251  0.070 x2
N  0.472  0.402  0.866 x2

***

No. 7
Theoretical powder XRD pattern
Compound: NiC4Br3N
Radiation: a wavelength of 1.5418 Å
Structure: a cell relaxed with GGA-PBE

Peak list (10 most intense, 10° ≤ 2θ ≤ 90°, sorted by position)
d 8.469, I = 77; d 8.302, I = 100; d 8.042, I = 94; d 4.751, I = 15; d 3.551, I = 48; d 2.823, I = 16; d 2.564, I = 17; d 2.109, I = 26; d 2.071, I = 19; d 1.863, I = 18

Crystal structure
Cell lengths 9.332, 6.520, 9.519 Å; angles 90.00, 117.17, 90.00 degrees
Space group P2_1 (No. 4)
One atom of each set of equivalent atoms:
Ni  0.002  0.000  0.002 x2
C  0.225  0.390  0.699 x2
C  0.268  0.899  0.544 x2
C  0.350  0.456  0.684 x2
C  0.499  0.467  0.709 x2
Br  0.145  0.749  0.943 x2
Br  0.167  0.785  0.352 x2
Br  0.200  0.253  0.077 x2
N  0.334  0.971  0.671 x2

***

No. 8
Theoretical powder XRD pattern
Compound: PbCBr3N
Radiation: a wavelength of 1.5418 Å
Structure: a cell relaxed with GGA-PBE

Peak list (10 most intense, 10° ≤ 2θ ≤ 90°, sorted by position)
d 7.222, I = 100; d 5.693, I = 85; d 4.471, I = 52; d 3.611, I = 70; d 3.049, I = 40; d 2.846, I = 33; d 2.648, I = 54; d 2.293, I = 45; d 2.235, I = 32; d 2.161, I = 36

Crystal structure
Cell lengths 8.653, 14.445, 7.559 Å; angles 90.00, 90.00, 90.00 degrees
Space group Pnma (No. 62)
One atom of each set of equivalent atoms:
Pb  0.000  0.000  0.000 x4
C  0.006  0.250  0.375 x4
Br  0.020  0.250  0.138 x4
Br  0.205  0.015  0.691 x8
N  0.001  0.750  0.470 x4

***

> Which formula does entry 8 have?

PbCBr3N